Record 1
GdCrTeO6: calculated powder X-ray diffraction pattern (CuKα), based on DFT lattice parameters and positions (PBE+U).
Peak positions follow from Bragg's law for the DFT cell and can differ from measured ones.

Principal peaks in the range 2θ = 10–90°, by intensity:
index  2θ/deg  I_rel
1 0 2  26.66  100
2 -1 4  50.70  38
1 1 0  34.47  34
2 0 2  44.10  24
3 -1 2  57.14  23
3 0 0  61.76  12
1 0 1  21.64  11
1 0 6  59.23  10
3 1 2  78.97  9
2 1 6  80.77  8

Structural model:
```
data_GdCrTeO6
_chemical_formula_sum 'Gd2 Cr2 Te2 O12'
_cell_length_a 5.2035
_cell_length_b 5.2035
_cell_length_c 9.9775
_cell_angle_alpha 90.00
_cell_angle_beta 90.00
_cell_angle_gamma 120.00
_symmetry_space_group_name_H-M 'P -3 1 c'
_symmetry_Int_Tables_number 163
_symmetry_space_group_name_Hall '-P 3 2c'
loop_
_atom_site_label
_atom_site_fract_x
_atom_site_fract_y
_atom_site_fract_z
_atom_site_occupancy
Gd1 0.0000 0.0000 0.0000 1
Cr1 0.3333 0.6667 0.2500 1
Te1 0.3333 0.6667 0.7500 1
O1 0.0098 0.3678 0.8590 1
```

=====

Record 2
Li4Cr3NiO8: calculated powder X-ray diffraction pattern (CuKα), based on DFT lattice parameters and positions (PBE+U).
Peak positions follow from Bragg's law for the DFT cell and can differ from measured ones.

Principal peaks in the range 2θ = 10–90°, by intensity:
index  2θ/deg  I_rel
2 0 0  18.33  100
4 0 -2  43.24  80
0 2 1  35.58  28
2 2 -3  62.92  21
0 4 0  62.69  21
2 0 -2  35.66  14
4 2 1  57.15  14
4 0 0  37.17  13
4 4 -2  79.20  9
4 2 -1  47.26  9

Structural model:
```
data_Li4Cr3NiO8
_chemical_formula_sum 'Li8 Cr6 Ni2 O16'
_cell_length_a 10.2725
_cell_length_b 5.9255
_cell_length_c 5.1105
_cell_angle_alpha 90.00
_cell_angle_beta 109.54
_cell_angle_gamma 90.00
_symmetry_space_group_name_H-M 'C 1 2/m 1'
_symmetry_Int_Tables_number 12
loop_
_symmetry_equiv_pos_as_xyz
'x,y,z'
'-x,-y,-z'
'-x,y,-z'
'x,-y,z'
'x+1/2,y+1/2,z'
'-x+1/2,-y+1/2,-z'
'-x+1/2,y+1/2,-z'
'x+1/2,-y+1/2,z'
loop_
_atom_site_label
_atom_site_fract_x
_atom_site_fract_y
_atom_site_fract_z
_atom_site_occupancy
Li1 0.2487 0.0000 0.4994 1
Li2 0.2500 0.2500 0.0000 1
Cr1 0.0000 0.2487 0.5000 1
Cr2 0.0000 0.5000 0.0000 1
Ni1 0.0000 0.0000 0.0000 1
O1 0.1122 0.2663 0.2404 1
O2 0.1133 0.5000 0.7472 1
O3 0.1146 0.0000 0.7340 1
```

=====

Record 3
LiMn3B3O9: calculated powder X-ray diffraction pattern (CuKα), based on DFT lattice parameters and positions (PBE+U).
Peak positions follow from Bragg's law for the DFT cell and can differ from measured ones.

Principal peaks in the range 2θ = 10–90°, by intensity:
index  2θ/deg  I_rel
0 1 2  19.76  100
1 -1 0  22.68  90
0 2 -2  35.21  77
1 1 1  21.92  70
-1 1 3  33.99  49
1 0 -1  20.40  39
1 0 2  20.67  33
1 2 3  36.83  31
2 0 -2  41.48  30
0 1 5  40.19  23

Structural model:
```
data_LiMn3B3O9
_chemical_formula_sum 'Li2 Mn6 B6 O18'
_cell_length_a 5.2608
_cell_length_b 6.1710
_cell_length_c 11.8027
_cell_angle_alpha 81.75
_cell_angle_beta 77.64
_cell_angle_gamma 87.92
_symmetry_space_group_name_H-M 'P -1'
_symmetry_Int_Tables_number 2
loop_
_symmetry_equiv_pos_as_xyz
'x,y,z'
'-x,-y,-z'
loop_
_atom_site_label
_atom_site_fract_x
_atom_site_fract_y
_atom_site_fract_z
_atom_site_occupancy
Li1 0.1957 0.4651 0.2959 1
Mn1 0.0143 0.0430 0.2866 1
Mn2 0.3320 0.2885 0.0385 1
Mn3 0.3433 0.3749 0.6195 1
B1 0.0769 0.7254 0.4967 1
B2 0.2490 0.5728 0.8341 1
B3 0.4112 0.0760 0.8305 1
O1 0.0004 0.3623 0.1754 1
O2 0.0189 0.7168 0.3858 1
O3 0.0956 0.2088 0.4135 1
O4 0.2361 0.1526 0.9178 1
O5 0.3225 0.6427 0.5094 1
O6 0.3315 0.5765 0.9404 1
O7 0.3572 0.0932 0.7177 1
O8 0.3583 0.0308 0.1535 1
O9 0.4355 0.5201 0.7418 1
```

=====

Record 4
Na4Cr2AsC4O16: calculated powder X-ray diffraction pattern (CuKα), based on DFT lattice parameters and positions (PBE+U).
Peak positions follow from Bragg's law for the DFT cell and can differ from measured ones.

Principal peaks in the range 2θ = 10–90°, by intensity:
index  2θ/deg  I_rel
0 2 2  17.78  100
1 1 3  20.66  75
3 1 1  21.22  44
1 3 1  21.08  41
5 1 1  33.62  41
1 5 1  33.34  40
1 1 5  32.51  37
4 0 4  36.09  28
0 4 4  35.91  26
4 4 0  36.59  22

Structural model:
```
data_Na4Cr2AsC4O16
_chemical_formula_sum 'Na32 Cr16 As8 C32 O128'
_cell_length_a 13.8276
_cell_length_b 13.9557
_cell_length_c 14.3447
_cell_angle_alpha 90.00
_cell_angle_beta 90.00
_cell_angle_gamma 90.00
_symmetry_space_group_name_H-M 'F d d d'
_symmetry_Int_Tables_number 70
loop_
_symmetry_equiv_pos_as_xyz
'x,y,z'
'-x,-y,-z'
'-x+1/4,-y+1/4,z'
'x+1/4,y+1/4,-z'
'x,-y+1/4,-z+1/4'
'-x,y+1/4,z+1/4'
'-x+1/4,y,-z+1/4'
'x+1/4,-y,z+1/4'
'x,y+1/2,z+1/2'
'-x,-y+1/2,-z+1/2'
'-x+1/4,-y+3/4,z+1/2'
'x+1/4,y+3/4,-z+1/2'
'x,-y+3/4,-z+3/4'
'-x,y+3/4,z+3/4'
'-x+1/4,y+1/2,-z+3/4'
'x+1/4,-y+1/2,z+3/4'
'x+1/2,y,z+1/2'
'-x+1/2,-y,-z+1/2'
'-x+3/4,-y+1/4,z+1/2'
'x+3/4,y+1/4,-z+1/2'
'x+1/2,-y+1/4,-z+3/4'
'-x+1/2,y+1/4,z+3/4'
'-x+3/4,y,-z+3/4'
'x+3/4,-y,z+3/4'
'x+1/2,y+1/2,z'
'-x+1/2,-y+1/2,-z'
'-x+3/4,-y+3/4,z'
'x+3/4,y+3/4,-z'
'x+1/2,-y+3/4,-z+1/4'
'-x+1/2,y+3/4,z+1/4'
'-x+3/4,y+1/2,-z+1/4'
'x+3/4,-y+1/2,z+1/4'
loop_
_atom_site_label
_atom_site_fract_x
_atom_site_fract_y
_atom_site_fract_z
_atom_site_occupancy
Na1 0.0884 0.3750 0.3750 1
Na2 0.1250 0.3386 0.1250 1
Cr1 0.0000 0.0000 0.5000 1
As1 0.1250 0.1250 0.1250 1
C1 0.0361 0.0379 0.7090 1
O1 0.0193 0.1069 0.7670 1
O2 0.0196 0.2750 0.8878 1
O3 0.0512 0.0510 0.0603 1
O4 0.1066 0.2721 0.5248 1
```

=====

Record 5
Li2Fe2P3O12: calculated powder X-ray diffraction pattern (CuKα), based on DFT lattice parameters and positions (PBE+U).
Peak positions follow from Bragg's law for the DFT cell and can differ from measured ones.

Principal peaks in the range 2θ = 10–90°, by intensity:
index  2θ/deg  I_rel
1 1 1  20.37  100
0 2 1  23.67  55
3 1 0  24.08  55
2 2 -2  28.66  51
3 1 -2  23.80  51
1 1 -1  14.22  35
3 1 -3  32.25  35
3 3 -1  35.32  27
2 0 -2  20.25  22
1 3 -3  46.19  21

Structural model:
```
data_Li2Fe2P3O12
_chemical_formula_sum 'Li8 Fe8 P12 O48'
_cell_length_a 15.0172
_cell_length_b 8.8480
_cell_length_c 8.7710
_cell_angle_alpha 90.00
_cell_angle_beta 125.67
_cell_angle_gamma 90.00
_symmetry_space_group_name_H-M 'C 1 2/c 1'
_symmetry_Int_Tables_number 15
loop_
_symmetry_equiv_pos_as_xyz
'x,y,z'
'-x,-y,-z'
'-x,y,-z+1/2'
'x,-y,z+1/2'
'x+1/2,y+1/2,z'
'-x+1/2,-y+1/2,-z'
'-x+1/2,y+1/2,-z+1/2'
'x+1/2,-y+1/2,z+1/2'
loop_
_atom_site_label
_atom_site_fract_x
_atom_site_fract_y
_atom_site_fract_z
_atom_site_occupancy
Li1 0.2448 0.0707 0.4430 1
Fe1 0.1108 0.2536 0.0746 1
P1 0.0000 0.0340 0.2500 1
P2 0.1446 0.3982 0.7545 1
O1 0.0349 0.3415 0.5880 1
O2 0.0699 0.0644 0.9267 1
O3 0.0833 0.1348 0.2462 1
O4 0.1588 0.4265 0.2606 1
O5 0.1677 0.3642 0.9477 1
O6 0.2345 0.3307 0.7378 1
```